Starting from a GGA-PBE-relaxed structure, the powder diffractogram of Y3ReTe5 was simulated for a wavelength of 1.5418 Å.
Lines closer than 0.1° are merged.

Atomic structure:
```
data_Y3ReTe5
_cell_length_a 8.4237
_cell_length_b 8.4237
_cell_length_c 4.3733
_cell_angle_alpha 90.00
_cell_angle_beta 90.00
_cell_angle_gamma 120.00
_space_group_name_H-M_alt 'P -6 2 m'
_space_group_IT_number 189
_space_group_name_Hall 'P -6 -2'
loop_
_atom_site_label
_atom_site_type_symbol
_atom_site_fract_x
_atom_site_fract_y
_atom_site_fract_z
_atom_site_occupancy
Y1 Y 0.0000 0.2616 0.0000 1
Re1 Re 0.0000 0.0000 0.5000 1
Te1 Te 0.0000 0.6894 0.5000 1
Te2 Te 0.3333 0.6667 0.0000 1
```

Peak list (6 most intense, 2θ from 15° to 90°, by intensity)
(hkl), two_theta, d_spacing, intensity
1 1 1, 29.44, 3.034, 100
3 0 0, 36.97, 2.432, 80
2 1 1, 38.60, 2.332, 65
3 0 2, 56.61, 1.626, 46
1 0 1, 23.72, 3.751, 41
2 0 1, 31.95, 2.801, 33



Starting from a GGA-PBE-relaxed structure, the powder diffractogram of MgScAu was simulated for a wavelength of 1.5418 Å.
Lines closer than 0.1° are merged.

Atomic structure:
```
data_MgScAu
_cell_length_a 6.309
_cell_length_b 4.518
_cell_length_c 8.319
_cell_angle_alpha 90.00
_cell_angle_beta 90.00
_cell_angle_gamma 90.00
_space_group_name_H-M_alt 'P n m a'
_space_group_IT_number 62
loop_
_space_group_symop_operation_xyz
'x,y,z'
'-x,-y,-z'
'-x+1/2,-y,z+1/2'
'x+1/2,y,-z+1/2'
'x+1/2,-y+1/2,-z+1/2'
'-x+1/2,y+1/2,z+1/2'
'-x,y+1/2,-z'
'x,-y+1/2,z'
loop_
_atom_site_label
_atom_site_type_symbol
_atom_site_fract_x
_atom_site_fract_y
_atom_site_fract_z
_atom_site_occupancy
Mg1 Mg 0.152 0.250 0.053 1
Sc1 Sc 0.039 0.250 0.683 1
Au1 Au 0.233 0.250 0.374 1
```

Peak list (6 most intense, 2θ from 15° to 90°, by intensity)
(hkl), two_theta, d_spacing, intensity
1 0 2, 25.65, 3.473, 100
1 1 1, 26.53, 3.360, 91
2 1 1, 36.37, 2.470, 83
1 2 2, 48.07, 1.893, 60
1 1 3, 40.77, 2.213, 52
0 1 1, 22.39, 3.970, 51



Starting from a GGA-PBE-relaxed structure, the powder diffractogram of Zn2SnTe2F2 was simulated for a wavelength of 1.5418 Å.
Lines closer than 0.1° are merged.

Atomic structure:
```
data_Zn2SnTe2F2
_cell_length_a 3.829
_cell_length_b 3.829
_cell_length_c 9.753
_cell_angle_alpha 90.00
_cell_angle_beta 90.00
_cell_angle_gamma 90.00
_space_group_name_H-M_alt 'P -4 m 2'
_space_group_IT_number 115
loop_
_space_group_symop_operation_xyz
'x,y,z'
'y,-x,-z'
'-x,-y,z'
'-y,x,-z'
'-x,y,z'
'-y,-x,-z'
'x,-y,z'
'y,x,-z'
loop_
_atom_site_label
_atom_site_type_symbol
_atom_site_fract_x
_atom_site_fract_y
_atom_site_fract_z
_atom_site_occupancy
Zn1 Zn 0.000 0.500 0.127 1
Sn1 Sn 0.500 0.500 0.500 1
Te1 Te 0.000 0.500 0.728 1
F1 F 0.000 0.000 0.000 1
F2 F 0.500 0.500 0.000 1
```

Peak list (6 most intense, 2θ from 15° to 90°, by intensity)
(hkl), two_theta, d_spacing, intensity
1 1 2, 38.01, 2.367, 100
1 0 3, 36.25, 2.478, 84
1 0 2, 29.66, 3.012, 71
1 0 1, 24.98, 3.564, 65
2 0 0, 47.49, 1.914, 49
2 1 3, 61.17, 1.515, 36



Starting from a GGA-PBE-relaxed structure, the powder diffractogram of HfOF2 was simulated for a wavelength of 1.5418 Å.
Lines closer than 0.1° are merged.

Atomic structure:
```
data_HfOF2
_cell_length_a 5.126
_cell_length_b 7.202
_cell_length_c 5.322
_cell_angle_alpha 90.00
_cell_angle_beta 90.00
_cell_angle_gamma 90.00
_space_group_name_H-M_alt 'P c a 21'
_space_group_IT_number 29
loop_
_space_group_symop_operation_xyz
'x,y,z'
'-x,-y,z+1/2'
'-x+1/2,y,z+1/2'
'x+1/2,-y,z'
loop_
_atom_site_label
_atom_site_type_symbol
_atom_site_fract_x
_atom_site_fract_y
_atom_site_fract_z
_atom_site_occupancy
Hf1 Hf 0.018 0.178 0.000 1
O1 O 0.152 0.067 0.328 1
F1 F 0.192 0.730 0.185 1
F2 F 0.198 0.407 0.986 1
```

Peak list (6 most intense, 2θ from 15° to 90°, by intensity)
(hkl), two_theta, d_spacing, intensity
1 1 1, 27.14, 3.286, 100
1 2 1, 34.80, 2.578, 36
0 0 2, 33.68, 2.661, 17
1 4 1, 56.90, 1.618, 17
1 1 3, 56.35, 1.633, 16
0 2 0, 24.72, 3.601, 16



Starting from a GGA-PBE-relaxed structure, the powder diffractogram of Tm2AgTe3 was simulated for a wavelength of 1.5418 Å.
Lines closer than 0.1° are merged.

Atomic structure:
```
data_Tm2AgTe3
_cell_length_a 10.863
_cell_length_b 4.116
_cell_length_c 14.623
_cell_angle_alpha 90.00
_cell_angle_beta 90.00
_cell_angle_gamma 90.00
_space_group_name_H-M_alt 'P n m a'
_space_group_IT_number 62
loop_
_space_group_symop_operation_xyz
'x,y,z'
'-x,-y,-z'
'-x+1/2,-y,z+1/2'
'x+1/2,y,-z+1/2'
'x+1/2,-y+1/2,-z+1/2'
'-x+1/2,y+1/2,z+1/2'
'-x,y+1/2,-z'
'x,-y+1/2,z'
loop_
_atom_site_label
_atom_site_type_symbol
_atom_site_fract_x
_atom_site_fract_y
_atom_site_fract_z
_atom_site_occupancy
Tm1 Tm 0.015 0.250 0.248 1
Tm2 Tm 0.230 0.750 0.528 1
Ag1 Ag 0.237 0.250 0.727 1
Te1 Te 0.039 0.250 0.601 1
Te2 Te 0.074 0.750 0.098 1
Te3 Te 0.237 0.750 0.863 1
```

Peak list (6 most intense, 2θ from 15° to 90°, by intensity)
(hkl), two_theta, d_spacing, intensity
2 1 3, 32.92, 2.720, 100
1 1 3, 29.57, 3.021, 32
0 2 0, 44.00, 2.058, 18
3 1 1, 33.53, 2.672, 14
0 1 9, 61.36, 1.511, 12
2 1 5, 41.38, 2.182, 11



Starting from a GGA-PBE-relaxed structure, the powder diffractogram of Er3Fe2 was simulated for a wavelength of 1.5418 Å.
Lines closer than 0.1° are merged.

Atomic structure:
```
data_Er3Fe2
_cell_length_a 12.811
_cell_length_b 3.952
_cell_length_c 9.211
_cell_angle_alpha 90.00
_cell_angle_beta 111.07
_cell_angle_gamma 90.00
_space_group_name_H-M_alt 'C 1 2/m 1'
_space_group_IT_number 12
loop_
_space_group_symop_operation_xyz
'x,y,z'
'-x,-y,-z'
'-x,y,-z'
'x,-y,z'
'x+1/2,y+1/2,z'
'-x+1/2,-y+1/2,-z'
'-x+1/2,y+1/2,-z'
'x+1/2,-y+1/2,z'
loop_
_atom_site_label
_atom_site_type_symbol
_atom_site_fract_x
_atom_site_fract_y
_atom_site_fract_z
_atom_site_occupancy
Er1 Er 0.109 0.000 0.180 1
Er2 Er 0.135 0.500 0.494 1
Er3 Er 0.136 0.500 0.877 1
Fe1 Fe 0.043 0.000 0.634 1
Fe2 Fe 0.230 0.000 0.742 1
```

Peak list (6 most intense, 2θ from 15° to 90°, by intensity)
(hkl), two_theta, d_spacing, intensity
3 1 -2, 33.43, 2.681, 100
4 0 0, 29.90, 2.989, 25
0 0 3, 31.22, 2.865, 21
3 1 1, 36.10, 2.488, 19
0 2 0, 45.92, 1.976, 19
4 0 -3, 34.72, 2.584, 18



Starting from a GGA-PBE-relaxed structure, the powder diffractogram of TlSnTe3Au was simulated for a wavelength of 1.5418 Å.
Lines closer than 0.1° are merged.

Atomic structure:
```
data_TlSnTe3Au
_cell_length_a 18.220
_cell_length_b 4.276
_cell_length_c 9.792
_cell_angle_alpha 90.00
_cell_angle_beta 104.60
_cell_angle_gamma 90.00
_space_group_name_H-M_alt 'C 1 2/m 1'
_space_group_IT_number 12
loop_
_space_group_symop_operation_xyz
'x,y,z'
'-x,-y,-z'
'-x,y,-z'
'x,-y,z'
'x+1/2,y+1/2,z'
'-x+1/2,-y+1/2,-z'
'-x+1/2,y+1/2,-z'
'x+1/2,-y+1/2,z'
loop_
_atom_site_label
_atom_site_type_symbol
_atom_site_fract_x
_atom_site_fract_y
_atom_site_fract_z
_atom_site_occupancy
Tl1 Tl 0.143 0.000 0.071 1
Sn1 Sn 0.174 0.000 0.587 1
Te1 Te 0.000 0.000 0.500 1
Te2 Te 0.000 0.500 0.000 1
Te3 Te 0.153 0.500 0.350 1
Te4 Te 0.161 0.500 0.802 1
Au1 Au 0.006 0.500 0.710 1
```

Peak list (6 most intense, 2θ from 15° to 90°, by intensity)
(hkl), two_theta, d_spacing, intensity
1 1 -2, 27.70, 3.221, 100
6 0 0, 30.42, 2.939, 46
5 1 2, 41.36, 2.183, 28
2 0 -4, 36.72, 2.447, 28
0 2 0, 42.27, 2.138, 24
7 1 -2, 41.85, 2.159, 23



Starting from a GGA-PBE-relaxed structure, the powder diffractogram of Ho7Co6Sn23 was simulated for a wavelength of 1.5418 Å.
Lines closer than 0.1° are merged.

Atomic structure:
```
data_Ho7Co6Sn23
_cell_length_a 9.6931
_cell_length_b 9.6931
_cell_length_c 9.9103
_cell_angle_alpha 90.00
_cell_angle_beta 90.00
_cell_angle_gamma 120.00
_space_group_name_H-M_alt 'P -3 m 1'
_space_group_IT_number 164
_space_group_name_Hall '-P 3 2"'
loop_
_atom_site_label
_atom_site_type_symbol
_atom_site_fract_x
_atom_site_fract_y
_atom_site_fract_z
_atom_site_occupancy
Ho1 Ho 0.0000 0.0000 0.0000 1
Ho2 Ho 0.0421 0.5211 0.3067 1
Co1 Co 0.1681 0.3362 0.8020 1
Sn1 Sn 0.0000 0.0000 0.5000 1
Sn2 Sn 0.0000 0.3466 0.0000 1
Sn3 Sn 0.1176 0.2351 0.2747 1
Sn4 Sn 0.2185 0.4371 0.5464 1
Sn5 Sn 0.3333 0.6667 0.1160 1
Sn6 Sn 0.3333 0.6667 0.8198 1
```

Peak list (6 most intense, 2θ from 15° to 90°, by intensity)
(hkl), two_theta, d_spacing, intensity
0 3 1, 33.27, 2.693, 100
1 2 2, 33.54, 2.672, 64
2 0 3, 34.55, 2.596, 53
3 0 2, 36.89, 2.437, 46
3 3 0, 56.98, 1.616, 37
2 2 0, 37.10, 2.423, 29



Starting from a GGA-PBE-relaxed structure, the powder diffractogram of LiLu2ReO6 was simulated for a wavelength of 1.5418 Å.
Lines closer than 0.1° are merged.

Atomic structure:
```
data_LiLu2ReO6
_cell_length_a 5.200
_cell_length_b 5.560
_cell_length_c 8.999
_cell_angle_alpha 90.00
_cell_angle_beta 122.89
_cell_angle_gamma 90.00
_space_group_name_H-M_alt 'P 1 21/c 1'
_space_group_IT_number 14
loop_
_space_group_symop_operation_xyz
'x,y,z'
'-x,-y,-z'
'-x,y+1/2,-z+1/2'
'x,-y+1/2,z+1/2'
loop_
_atom_site_label
_atom_site_type_symbol
_atom_site_fract_x
_atom_site_fract_y
_atom_site_fract_z
_atom_site_occupancy
Li1 Li 0.000 0.000 0.000 1
Lu1 Lu 0.214 0.080 0.743 1
Re1 Re 0.500 0.000 0.500 1
O1 O 0.126 0.187 0.438 1
O2 O 0.253 0.703 0.427 1
O3 O 0.394 0.053 0.257 1
```

Peak list (6 most intense, 2θ from 15° to 90°, by intensity)
(hkl), two_theta, d_spacing, intensity
1 1 1, 32.94, 2.720, 100
1 1 -3, 33.98, 2.638, 96
0 1 1, 19.82, 4.479, 65
2 0 -2, 34.53, 2.598, 46
1 0 -2, 21.15, 4.201, 39
2 1 -1, 39.68, 2.272, 33



Starting from a GGA-PBE-relaxed structure, the powder diffractogram of Lu2Hf4Sn3C3 was simulated for a wavelength of 1.5418 Å.
Lines closer than 0.1° are merged.

Atomic structure:
```
data_Lu2Hf4Sn3C3
_cell_length_a 10.196
_cell_length_b 5.889
_cell_length_c 15.114
_cell_angle_alpha 90.00
_cell_angle_beta 103.10
_cell_angle_gamma 90.00
_space_group_name_H-M_alt 'C 1 2/c 1'
_space_group_IT_number 15
loop_
_space_group_symop_operation_xyz
'x,y,z'
'-x,-y,-z'
'-x,y,-z+1/2'
'x,-y,z+1/2'
'x+1/2,y+1/2,z'
'-x+1/2,-y+1/2,-z'
'-x+1/2,y+1/2,-z+1/2'
'x+1/2,-y+1/2,z+1/2'
loop_
_atom_site_label
_atom_site_type_symbol
_atom_site_fract_x
_atom_site_fract_y
_atom_site_fract_z
_atom_site_occupancy
Lu1 Lu 0.050 0.081 0.409 1
Hf1 Hf 0.111 0.412 0.581 1
Hf2 Hf 0.225 0.419 0.919 1
Sn1 Sn 0.000 0.440 0.250 1
Sn2 Sn 0.179 0.095 0.751 1
C1 C 0.087 0.260 0.000 1
C2 C 0.250 0.250 0.500 1
```

Peak list (6 most intense, 2θ from 15° to 90°, by intensity)
(hkl), two_theta, d_spacing, intensity
0 2 3, 35.57, 2.524, 100
3 1 -4, 35.54, 2.526, 51
3 1 -1, 30.36, 2.944, 35
6 0 -2, 53.94, 1.700, 31
0 0 6, 36.63, 2.453, 30
6 0 -8, 66.96, 1.397, 25



Starting from a GGA-PBE-relaxed structure, the powder diffractogram of CdTePbO was simulated for a wavelength of 1.5418 Å.
Lines closer than 0.1° are merged.

Atomic structure:
```
data_CdTePbO
_cell_length_a 7.247
_cell_length_b 3.933
_cell_length_c 13.828
_cell_angle_alpha 90.00
_cell_angle_beta 90.00
_cell_angle_gamma 90.00
_space_group_name_H-M_alt 'P n m a'
_space_group_IT_number 62
loop_
_space_group_symop_operation_xyz
'x,y,z'
'-x,-y,-z'
'-x+1/2,-y,z+1/2'
'x+1/2,y,-z+1/2'
'x+1/2,-y+1/2,-z+1/2'
'-x+1/2,y+1/2,z+1/2'
'-x,y+1/2,-z'
'x,-y+1/2,z'
loop_
_atom_site_label
_atom_site_type_symbol
_atom_site_fract_x
_atom_site_fract_y
_atom_site_fract_z
_atom_site_occupancy
Cd1 Cd 0.233 0.250 0.055 1
Te1 Te 0.175 0.750 0.887 1
Pb1 Pb 0.047 0.750 0.268 1
O1 O 0.194 0.250 0.623 1
```

Peak list (6 most intense, 2θ from 15° to 90°, by intensity)
(hkl), two_theta, d_spacing, intensity
0 1 3, 29.86, 2.992, 100
2 1 1, 34.27, 2.617, 57
2 0 2, 27.80, 3.209, 57
2 1 5, 47.38, 1.919, 23
0 2 0, 46.16, 1.967, 22
2 0 3, 31.40, 2.849, 19



Starting from a GGA-PBE-relaxed structure, the powder diffractogram of BaAlSnAu2 was simulated for a wavelength of 1.5418 Å.
Lines closer than 0.1° are merged.

Atomic structure:
```
data_BaAlSnAu2
_cell_length_a 4.818
_cell_length_b 4.818
_cell_length_c 10.814
_cell_angle_alpha 90.00
_cell_angle_beta 90.00
_cell_angle_gamma 90.00
_space_group_name_H-M_alt 'P 4/n m m'
_space_group_IT_number 129
loop_
_space_group_symop_operation_xyz
'x,y,z'
'-x,-y,-z'
'-y+1/2,x,z'
'y+1/2,-x,-z'
'-x+1/2,-y+1/2,z'
'x+1/2,y+1/2,-z'
'y,-x+1/2,z'
'-y,x+1/2,-z'
'x+1/2,-y,-z'
'-x+1/2,y,z'
'-y,-x,-z'
'y,x,z'
'-x,y+1/2,-z'
'x,-y+1/2,z'
'y+1/2,x+1/2,-z'
'-y+1/2,-x+1/2,z'
loop_
_atom_site_label
_atom_site_type_symbol
_atom_site_fract_x
_atom_site_fract_y
_atom_site_fract_z
_atom_site_occupancy
Ba1 Ba 0.250 0.250 0.244 1
Al1 Al 0.250 0.250 0.896 1
Sn1 Sn 0.250 0.750 0.500 1
Au1 Au 0.250 0.250 0.658 1
Au2 Au 0.250 0.750 0.000 1
```

Peak list (6 most intense, 2θ from 15° to 90°, by intensity)
(hkl), two_theta, d_spacing, intensity
1 1 2, 31.02, 2.883, 100
2 0 0, 37.33, 2.409, 45
3 1 2, 63.42, 1.467, 25
0 0 3, 24.73, 3.600, 24
1 1 4, 42.70, 2.118, 17
2 2 0, 53.81, 1.704, 16